Starting from a DFT-relaxed cell (GGA+U, the Materials Project), the PXRD pattern of Ca8Mn4Al4O21 was simulated for Cu Kα X-rays.

Main lines, by intensity (10° ≤ 2θ ≤ 90°):
2θ = 33.56°, intensity 100; 2θ = 47.77°, intensity 48; 2θ = 33.27°, intensity 35; 2θ = 59.64°, intensity 33; 2θ = 70.54°, intensity 24; 2θ = 48.62°, intensity 22

Structural model:
Cell lengths 7.6165, 7.6165, 7.4904 Å; angles 90.00, 90.00, 90.00 degrees
Element x y z (fractional)
Ca (0.2379, 0.2379, 0.0000)
Ca (0.2379, 0.7621, 0.0000)
Ca (0.2437, 0.2437, 0.5000)
Ca (0.2437, 0.7563, 0.5000)
Ca (0.7563, 0.2437, 0.5000)
Ca (0.7563, 0.7563, 0.5000)
Ca (0.7621, 0.2379, 0.0000)
Ca (0.7621, 0.7621, 0.0000)
Mn (0.0000, 0.5000, 0.2542)
Mn (0.0000, 0.5000, 0.7458)
Mn (0.5000, 0.0000, 0.2542)
Mn (0.5000, 0.0000, 0.7458)
Al (0.0000, 0.0000, 0.2337)
Al (0.0000, 0.0000, 0.7663)
Al (0.5000, 0.5000, 0.2477)
Al (0.5000, 0.5000, 0.7523)
O (0.0000, 0.0000, 0.0000)
O (0.0000, 0.2404, 0.2703)
O (0.0000, 0.2404, 0.7297)
O (0.0000, 0.5000, 0.0000)
O (0.0000, 0.5000, 0.5000)
O (0.0000, 0.7596, 0.2703)
O (0.0000, 0.7596, 0.7297)
O (0.2404, 0.0000, 0.2703)
O (0.2404, 0.0000, 0.7297)
O (0.2631, 0.5000, 0.2497)
O (0.2631, 0.5000, 0.7503)
O (0.5000, 0.0000, 0.0000)
O (0.5000, 0.0000, 0.5000)
O (0.5000, 0.2631, 0.2497)
O (0.5000, 0.2631, 0.7503)
O (0.5000, 0.7369, 0.2497)
O (0.5000, 0.7369, 0.7503)
O (0.7369, 0.5000, 0.2497)
O (0.7369, 0.5000, 0.7503)
O (0.7596, 0.0000, 0.2703)
O (0.7596, 0.0000, 0.7297)

=====

Starting from a DFT-relaxed cell (GGA+U, the Materials Project), the PXRD pattern of MnOF was simulated for Cu Kα X-rays.

Main lines, by intensity (10° ≤ 2θ ≤ 90°):
2θ = 25.79°, intensity 100; 2θ = 27.03°, intensity 90; 2θ = 34.68°, intensity 64; 2θ = 34.51°, intensity 43; 2θ = 52.97°, intensity 33; 2θ = 51.57°, intensity 30

Structural model:
Cell lengths 4.8138, 3.0885, 18.9636 Å; angles 90.00, 92.64, 90.00 degrees
Element x y z (fractional)
Mn (0.0000, 0.0000, 0.0000)
Mn (0.0207, 0.0000, 0.2486)
Mn (0.3631, 0.5000, 0.6234)
Mn (0.4041, 0.5000, 0.8739)
Mn (0.4667, 0.5000, 0.3734)
Mn (0.5781, 0.5000, 0.1231)
Mn (0.8151, 0.0000, 0.7476)
Mn (0.9178, 0.0000, 0.4975)
O (0.0906, 0.5000, 0.5475)
O (0.1887, 0.5000, 0.2989)
O (0.2502, 0.0000, 0.9243)
O (0.5682, 0.0000, 0.8257)
O (0.6446, 0.5000, 0.6993)
O (0.7403, 0.0000, 0.0759)
O (0.7434, 0.5000, 0.4485)
O (0.8391, 0.5000, 0.1999)
F (0.0431, 0.5000, 0.7944)
F (0.1529, 0.0000, 0.6737)
F (0.2331, 0.5000, 0.0505)
F (0.2654, 0.0000, 0.4210)
F (0.3595, 0.0000, 0.1690)
F (0.5703, 0.0000, 0.5783)
F (0.6664, 0.0000, 0.3251)
F (0.7803, 0.5000, 0.9545)

=====

Starting from a DFT-relaxed cell (GGA+U, the Materials Project), the PXRD pattern of FeP4O12 was simulated for Cu Kα X-rays.

Main lines, by intensity (10° ≤ 2θ ≤ 90°):
2θ = 13.01°, intensity 100; 2θ = 23.34°, intensity 77; 2θ = 11.97°, intensity 63; 2θ = 13.63°, intensity 42; 2θ = 24.06°, intensity 34; 2θ = 31.42°, intensity 28

Structural model:
Cell lengths 5.2655, 13.6046, 7.4816 Å; angles 90.00, 98.66, 90.00 degrees
Element x y z (fractional)
Fe (0.0071, 0.0000, 0.0133)
Fe (0.9929, 0.5000, 0.9867)
P (0.2918, 0.5848, 0.3743)
P (0.3617, 0.9406, 0.3981)
P (0.4803, 0.3630, 0.9380)
P (0.4871, 0.1384, 0.9475)
P (0.5129, 0.6384, 0.0525)
P (0.5197, 0.8630, 0.0620)
P (0.6383, 0.4406, 0.6019)
P (0.7082, 0.0848, 0.6257)
O (0.1150, 0.5129, 0.2613)
O (0.1332, 0.9845, 0.2778)
O (0.1468, 0.6724, 0.4311)
O (0.2146, 0.3781, 0.9843)
O (0.2213, 0.1234, 0.9919)
O (0.2937, 0.5827, 0.9460)
O (0.3037, 0.9220, 0.9605)
O (0.3274, 0.8842, 0.5632)
O (0.4364, 0.7511, 0.0314)
O (0.4425, 0.5327, 0.5471)
O (0.4694, 0.3762, 0.7234)
O (0.4785, 0.1180, 0.7330)
O (0.5215, 0.6180, 0.2670)
O (0.5306, 0.8762, 0.2766)
O (0.5575, 0.0327, 0.4529)
O (0.5636, 0.2511, 0.9686)
O (0.6726, 0.3842, 0.4368)
O (0.6963, 0.4220, 0.0395)
O (0.7063, 0.0827, 0.0540)
O (0.7787, 0.6234, 0.0081)
O (0.7854, 0.8781, 0.0157)
O (0.8532, 0.1724, 0.5689)
O (0.8668, 0.4845, 0.7222)
O (0.8850, 0.0129, 0.7387)

=====

Starting from a DFT-relaxed cell (GGA+U, the Materials Project), the PXRD pattern of Al2FeP2O18 was simulated for Cu Kα X-rays.

Main lines, by intensity (10° ≤ 2θ ≤ 90°):
2θ = 18.96°, intensity 100; 2θ = 20.12°, intensity 60; 2θ = 22.58°, intensity 48; 2θ = 17.16°, intensity 38; 2θ = 18.07°, intensity 27; 2θ = 32.82°, intensity 25

Structural model:
Cell lengths 9.9127, 9.8817, 6.9803 Å; angles 90.00, 97.98, 90.00 degrees
Element x y z (fractional)
Al (0.0145, 0.2359, 0.1399)
Al (0.0145, 0.2641, 0.6399)
Al (0.9855, 0.7359, 0.3601)
Al (0.9855, 0.7641, 0.8601)
Fe (0.5000, 0.0000, 0.5000)
Fe (0.5000, 0.5000, 0.0000)
P (0.1804, 0.0406, 0.9261)
P (0.1804, 0.4594, 0.4261)
P (0.8196, 0.5406, 0.5739)
P (0.8196, 0.9594, 0.0739)
O (0.0080, 0.6971, 0.1082)
O (0.0080, 0.8029, 0.6082)
O (0.1168, 0.6006, 0.4467)
O (0.1168, 0.8994, 0.9467)
O (0.1182, 0.1113, 0.7353)
O (0.1182, 0.3887, 0.2353)
O (0.1346, 0.6470, 0.8169)
O (0.1346, 0.8530, 0.3169)
O (0.1571, 0.1249, 0.1034)
O (0.1571, 0.3751, 0.6034)
O (0.3319, 0.0129, 0.9175)
O (0.3319, 0.4871, 0.4175)
O (0.3662, 0.1245, 0.4644)
O (0.3662, 0.3755, 0.9644)
O (0.3878, 0.6242, 0.0829)
O (0.3878, 0.8758, 0.5829)
O (0.4682, 0.6153, 0.7951)
O (0.4682, 0.8847, 0.2951)
O (0.5318, 0.1153, 0.7049)
O (0.5318, 0.3847, 0.2049)
O (0.6122, 0.1242, 0.4171)
O (0.6122, 0.3758, 0.9171)
O (0.6338, 0.6245, 0.0356)
O (0.6338, 0.8755, 0.5356)
O (0.6681, 0.5129, 0.5825)
O (0.6681, 0.9871, 0.0825)
O (0.8429, 0.6249, 0.3966)
O (0.8429, 0.8751, 0.8966)
O (0.8654, 0.1470, 0.6831)
O (0.8654, 0.3530, 0.1831)
O (0.8818, 0.6113, 0.7647)
O (0.8818, 0.8887, 0.2647)
O (0.8832, 0.1006, 0.0533)
O (0.8832, 0.3994, 0.5533)
O (0.9920, 0.1971, 0.3918)
O (0.9920, 0.3029, 0.8918)

=====

Starting from a DFT-relaxed cell (GGA+U, the Materials Project), the PXRD pattern of NaV4Cd3O12 was simulated for Cu Kα X-rays.

Main lines, by intensity (10° ≤ 2θ ≤ 90°):
2θ = 33.12°, intensity 100; 2θ = 33.44°, intensity 62; 2θ = 33.18°, intensity 31; 2θ = 59.50°, intensity 22; 2θ = 47.43°, intensity 21; 2θ = 47.70°, intensity 19

Structural model:
Cell lengths 5.3542, 5.4007, 7.6669 Å; angles 90.38, 90.38, 90.33 degrees
Element x y z (fractional)
Na (0.0000, 0.0000, 0.0000)
V (0.4832, 0.9666, 0.2359)
V (0.4874, 0.9678, 0.7455)
V (0.9855, 0.4650, 0.2518)
V (0.9946, 0.4677, 0.7542)
Cd (0.4885, 0.4995, 0.0017)
Cd (0.4998, 0.4309, 0.4980)
Cd (0.9803, 0.9328, 0.4978)
O (0.0781, 0.4875, 0.4945)
O (0.1982, 0.7398, 0.7911)
O (0.2128, 0.7632, 0.2145)
O (0.2980, 0.2566, 0.2057)
O (0.2998, 0.2474, 0.8014)
O (0.3976, 0.9980, 0.5018)
O (0.5703, 0.9413, 0.0111)
O (0.6922, 0.6842, 0.7115)
O (0.6933, 0.6808, 0.3040)
O (0.7800, 0.1698, 0.2982)
O (0.7986, 0.1842, 0.7110)
O (0.9105, 0.4530, 0.0130)

=====

Starting from a DFT-relaxed cell (GGA+U, the Materials Project), the PXRD pattern of Tm2NiRuO6 was simulated for Cu Kα X-rays.

Main lines, by intensity (10° ≤ 2θ ≤ 90°):
2θ = 32.95°, intensity 100; 2θ = 33.16°, intensity 99; 2θ = 34.26°, intensity 47; 2θ = 52.83°, intensity 35; 2θ = 31.53°, intensity 33; 2θ = 33.69°, intensity 30

Structural model:
Cell lengths 5.2352, 5.6756, 9.2200 Å; angles 90.00, 124.12, 90.00 degrees
Element x y z (fractional)
Tm (0.2206, 0.0792, 0.2474)
Tm (0.2206, 0.4208, 0.7474)
Tm (0.7794, 0.5792, 0.2526)
Tm (0.7794, 0.9208, 0.7526)
Ni (0.0000, 0.0000, 0.5000)
Ni (0.0000, 0.5000, 0.0000)
Ru (0.5000, 0.0000, 0.0000)
Ru (0.5000, 0.5000, 0.5000)
O (0.1267, 0.1872, 0.9402)
O (0.1267, 0.3128, 0.4402)
O (0.2498, 0.6968, 0.9299)
O (0.2498, 0.8032, 0.4299)
O (0.3853, 0.0519, 0.7532)
O (0.3853, 0.4481, 0.2532)
O (0.6147, 0.5519, 0.7468)
O (0.6147, 0.9481, 0.2468)
O (0.7502, 0.1968, 0.5701)
O (0.7502, 0.3032, 0.0701)
O (0.8733, 0.6872, 0.5598)
O (0.8733, 0.8128, 0.0598)

=====

Starting from a DFT-relaxed cell (GGA+U, the Materials Project), the PXRD pattern of Sr3NbCoO7 was simulated for Cu Kα X-rays.

Main lines, by intensity (10° ≤ 2θ ≤ 90°):
2θ = 31.03°, intensity 100; 2θ = 31.73°, intensity 68; 2θ = 45.49°, intensity 42; 2θ = 56.08°, intensity 38; 2θ = 64.69°, intensity 15; 2θ = 54.76°, intensity 14

Structural model:
Cell lengths 10.7975, 10.7975, 10.7975 Å; angles 158.71, 158.71, 30.28 degrees
Element x y z (fractional)
Sr (0.0000, 0.0000, 0.0000)
Sr (0.1617, 0.1617, 0.0000)
Sr (0.3717, 0.3717, 0.0000)
Nb (0.7737, 0.7737, 0.0000)
Co (0.5788, 0.5788, 0.0000)
O (0.0835, 0.5835, 0.5000)
O (0.2775, 0.7775, 0.5000)
O (0.4833, 0.4833, 0.0000)
O (0.5835, 0.0835, 0.5000)
O (0.6811, 0.6811, 0.0000)
O (0.7775, 0.2775, 0.5000)
O (0.8730, 0.8730, 0.0000)

=====

Starting from a DFT-relaxed cell (GGA+U, the Materials Project), the PXRD pattern of BaSrEuCrO6 was simulated for Cu Kα X-rays.

Main lines, by intensity (10° ≤ 2θ ≤ 90°):
2θ = 30.34°, intensity 100; 2θ = 53.90°, intensity 39; 2θ = 43.44°, intensity 31; 2θ = 87.63°, intensity 21; 2θ = 63.12°, intensity 19; 2θ = 71.63°, intensity 18

Structural model:
Cell lengths 5.8920, 5.8920, 5.8920 Å; angles 60.00, 60.00, 60.00 degrees
Element x y z (fractional)
Ba (0.0000, 0.0000, 0.0000)
Sr (0.5000, 0.5000, 0.5000)
Eu (0.2500, 0.2500, 0.2500)
Cr (0.7500, 0.7500, 0.7500)
O (0.5220, 0.5220, 0.9780)
O (0.5220, 0.9780, 0.5220)
O (0.5220, 0.9780, 0.9780)
O (0.9780, 0.5220, 0.5220)
O (0.9780, 0.5220, 0.9780)
O (0.9780, 0.9780, 0.5220)

=====

Starting from a DFT-relaxed cell (GGA+U, the Materials Project), the PXRD pattern of Rb2CoP4H8O16 was simulated for Cu Kα X-rays.

Main lines, by intensity (10° ≤ 2θ ≤ 90°):
2θ = 24.15°, intensity 100; 2θ = 29.04°, intensity 67; 2θ = 25.56°, intensity 59; 2θ = 12.01°, intensity 58; 2θ = 18.08°, intensity 56; 2θ = 24.86°, intensity 51

Structural model:
Cell lengths 7.1054, 7.4463, 7.8624 Å; angles 82.34, 70.79, 88.45 degrees
Element x y z (fractional)
Rb (0.0906, 0.2104, 0.2914)
Rb (0.9094, 0.7896, 0.7086)
Co (0.5000, 0.0000, 0.5000)
P (0.2328, 0.2926, 0.7567)
P (0.3590, 0.7556, 0.2328)
P (0.6410, 0.2444, 0.7672)
P (0.7672, 0.7074, 0.2433)
H (0.0893, 0.7613, 0.0780)
H (0.2686, 0.5260, 0.4555)
H (0.3785, 0.6682, 0.6949)
H (0.3860, 0.7985, 0.8399)
H (0.6140, 0.2015, 0.1601)
H (0.6215, 0.3318, 0.3051)
H (0.7314, 0.4740, 0.5445)
H (0.9107, 0.2387, 0.9220)
O (0.0461, 0.2750, 0.9343)
O (0.2426, 0.1398, 0.6447)
O (0.2555, 0.4836, 0.6529)
O (0.2667, 0.5614, 0.3238)
O (0.2890, 0.8142, 0.0718)
O (0.3182, 0.8839, 0.3749)
O (0.4028, 0.2700, 0.8557)
O (0.4374, 0.7823, 0.7094)
O (0.5626, 0.2177, 0.2906)
O (0.5972, 0.7300, 0.1443)
O (0.6818, 0.1161, 0.6251)
O (0.7110, 0.1858, 0.9282)
O (0.7333, 0.4386, 0.6762)
O (0.7445, 0.5164, 0.3471)
O (0.7574, 0.8602, 0.3553)
O (0.9539, 0.7250, 0.0657)